Theoretical PXRD pattern
Compound: La5PS4
Radiation: a wavelength of 1.5418 Å
Structure: DFT lattice parameters and positions (PBE)

Principal peaks in the range 2θ from 10° to 80°, most intense first:
d = 2.957 Å, intensity 1000
d = 2.091 Å, intensity 729
d = 3.414 Å, intensity 706
d = 1.783 Å, intensity 355
d = 1.322 Å, intensity 322
d = 1.707 Å, intensity 254
d = 1.207 Å, intensity 241
d = 1.357 Å, intensity 143

a b c (Å): 4.1809 4.1809 29.5690
angles (deg): 90.00 90.00 90.00
Space group I4/mmm (No. 139)
Symmetry-distinct sites (fractional):
La1 0.0000 0.0000 0.0000 x2
La2 0.0000 0.0000 0.2011 x4
La3 0.0000 0.0000 0.4007 x4
P1 0.0000 0.0000 0.5000 x2
S1 0.0000 0.0000 0.1009 x4
S2 0.0000 0.0000 0.3003 x4



Theoretical PXRD pattern
Compound: ErZn2Cu9
Radiation: a wavelength of 1.5418 Å
Structure: DFT lattice parameters and positions (PBE)

Principal peaks in the range 2θ from 10° to 80°, most intense first:
d = 2.288 Å, intensity 1000
d = 2.252 Å, intensity 678
d = 2.571 Å, intensity 406
d = 1.926 Å, intensity 382
d = 2.141 Å, intensity 314
d = 1.307 Å, intensity 269
d = 1.858 Å, intensity 265
d = 2.986 Å, intensity 209

a b c (Å): 10.0719 10.0719 6.5742
angles (deg): 90.00 90.00 90.00
Space group I4_1/amd (No. 141, origin choice 2)
Symmetry-distinct sites (fractional):
Er1 0.0000 0.2500 0.3750 x4
Zn1 0.0000 0.0000 0.0000 x8
Cu1 0.0000 0.2500 0.8750 x4
Cu2 0.1220 0.0428 0.6780 x32



Theoretical PXRD pattern
Compound: CePuZnHg
Radiation: a wavelength of 1.5418 Å
Structure: DFT lattice parameters and positions (PBE)

Principal peaks in the range 2θ from 10° to 80°, most intense first:
d = 2.623 Å, intensity 1000
d = 1.515 Å, intensity 378
d = 1.855 Å, intensity 182
d = 4.284 Å, intensity 134
d = 1.312 Å, intensity 117
d = 2.237 Å, intensity 80
d = 1.702 Å, intensity 36
d = 3.710 Å, intensity 30

a b c (Å): 7.4200 7.4200 7.4200
angles (deg): 90.00 90.00 90.00
Space group F-43m (No. 216)
Symmetry-distinct sites (fractional):
Ce1 0.0000 0.0000 0.0000 x4
Pu1 0.0000 0.0000 0.5000 x4
Zn1 0.2500 0.2500 0.2500 x4
Hg1 0.2500 0.2500 0.7500 x4